(1)
Ta12Al17: computed powder XRD pattern (a wavelength of 1.5418 Å), based on a DFT-relaxed cell (GGA-PBE, OQMD).
Peak positions follow from Bragg's law for the DFT cell and can differ from measured ones.

Principal peaks in the range 10° ≤ 2θ ≤ 90°, by angle:
d/Å	two_theta	I/Imax
7.070	12.52	83
4.999	17.74	15
2.886	30.98	40
2.672	33.54	25
2.500	35.93	30
2.357	38.19	100
2.132	42.40	27
2.041	44.39	16
1.961	46.30	20
1.474	63.06	16
1.361	69.03	33
1.162	83.10	13

Cell and atoms:
Unit cell a=8.659 b=8.659 c=8.659 alpha=109.47 beta=109.47 gamma=109.47
Fractional positions:
Ta (0.000, 0.427, 0.685)
Ta (0.000, 0.685, 0.427)
Ta (0.258, 0.573, 0.573)
Ta (0.315, 0.315, 0.742)
Ta (0.315, 0.742, 0.315)
Ta (0.427, 0.000, 0.685)
Ta (0.427, 0.685, 0.000)
Ta (0.573, 0.258, 0.573)
Ta (0.573, 0.573, 0.258)
Ta (0.685, 0.000, 0.427)
Ta (0.685, 0.427, 0.000)
Ta (0.742, 0.315, 0.315)
Al (0.000, 0.000, 0.000)
Al (0.000, 0.000, 0.675)
Al (0.000, 0.189, 0.379)
Al (0.000, 0.379, 0.189)
Al (0.000, 0.675, 0.000)
Al (0.189, 0.000, 0.379)
Al (0.189, 0.379, 0.000)
Al (0.190, 0.811, 0.811)
Al (0.325, 0.325, 0.325)
Al (0.379, 0.000, 0.189)
Al (0.379, 0.189, 0.000)
Al (0.621, 0.621, 0.810)
Al (0.621, 0.810, 0.621)
Al (0.675, 0.000, 0.000)
Al (0.810, 0.621, 0.621)
Al (0.811, 0.190, 0.811)
Al (0.811, 0.811, 0.190)


(2)
Ta5Al8: computed powder XRD pattern (a wavelength of 1.5418 Å), based on a DFT-relaxed cell (GGA-PBE, OQMD).
Peak positions follow from Bragg's law for the DFT cell and can differ from measured ones.

Principal peaks in the range 10° ≤ 2θ ≤ 90°, by angle:
d/Å	two_theta	I/Imax
4.349	20.42	48
4.212	21.09	56
2.539	35.36	100
2.443	36.79	35
2.283	39.47	80
2.254	40.00	40
2.192	41.17	20
2.004	45.25	33
1.697	54.02	19
1.466	63.47	19
1.411	66.23	36
1.269	74.79	18

Cell and atoms:
Unit cell a=10.223 b=10.223 c=10.223 alpha=28.76 beta=28.76 gamma=28.76
Fractional positions:
Ta (0.000, 0.000, 0.000)
Ta (0.357, 0.357, 0.357)
Ta (0.456, 0.456, 0.456)
Ta (0.544, 0.544, 0.544)
Ta (0.643, 0.643, 0.643)
Al (0.090, 0.090, 0.589)
Al (0.090, 0.589, 0.090)
Al (0.164, 0.164, 0.164)
Al (0.411, 0.910, 0.910)
Al (0.589, 0.090, 0.090)
Al (0.836, 0.836, 0.836)
Al (0.910, 0.411, 0.910)
Al (0.910, 0.910, 0.411)


(3)
Ta7Al8: computed powder XRD pattern (a wavelength of 1.5418 Å), based on a DFT-relaxed cell (GGA-PBE, OQMD).
Peak positions follow from Bragg's law for the DFT cell and can differ from measured ones.

Principal peaks in the range 10° ≤ 2θ ≤ 90°, by angle:
d/Å	two_theta	I/Imax
6.952	12.73	100
4.397	20.20	21
3.476	25.63	21
2.727	32.85	19
2.384	37.73	57
2.334	38.57	45
2.317	38.87	30
2.271	39.69	68
2.175	41.52	32
2.018	44.92	14
1.423	65.61	24
1.159	83.40	16

Cell and atoms:
Unit cell a=9.831 b=9.831 c=5.305 alpha=90.00 beta=90.00 gamma=90.00
Fractional positions:
Ta (0.000, 0.000, 0.000)
Ta (0.099, 0.099, 0.500)
Ta (0.184, 0.816, 0.250)
Ta (0.184, 0.816, 0.750)
Ta (0.316, 0.316, 0.250)
Ta (0.316, 0.316, 0.750)
Ta (0.401, 0.599, 0.000)
Ta (0.500, 0.500, 0.500)
Ta (0.599, 0.401, 0.000)
Ta (0.684, 0.684, 0.250)
Ta (0.684, 0.684, 0.750)
Ta (0.816, 0.184, 0.250)
Ta (0.816, 0.184, 0.750)
Ta (0.901, 0.901, 0.500)
Al (0.035, 0.367, 0.500)
Al (0.066, 0.263, 0.000)
Al (0.133, 0.535, 0.000)
Al (0.237, 0.566, 0.500)
Al (0.263, 0.066, 0.000)
Al (0.367, 0.035, 0.500)
Al (0.434, 0.763, 0.500)
Al (0.465, 0.867, 0.000)
Al (0.535, 0.133, 0.000)
Al (0.566, 0.237, 0.500)
Al (0.633, 0.965, 0.500)
Al (0.737, 0.934, 0.000)
Al (0.763, 0.434, 0.500)
Al (0.867, 0.465, 0.000)
Al (0.934, 0.737, 0.000)
Al (0.965, 0.633, 0.500)


(4)
Ta2Al13: computed powder XRD pattern (a wavelength of 1.5418 Å), based on a DFT-relaxed cell (GGA-PBE, OQMD).
Peak positions follow from Bragg's law for the DFT cell and can differ from measured ones.

Principal peaks in the range 10° ≤ 2θ ≤ 90°, by angle:
d/Å	two_theta	I/Imax
6.954	12.73	96
4.497	19.74	100
4.398	20.19	56
2.865	31.22	57
2.728	32.83	42
2.649	33.84	43
2.528	35.51	28
2.385	37.71	34
2.192	41.18	66
2.157	41.87	91
2.107	42.92	56
1.376	68.14	33

Cell and atoms:
Unit cell a=9.835 b=9.835 c=5.056 alpha=90.00 beta=90.00 gamma=90.00
Fractional positions:
Ta (0.104, 0.104, 0.000)
Ta (0.396, 0.604, 0.500)
Ta (0.604, 0.396, 0.500)
Ta (0.896, 0.896, 0.000)
Al (0.000, 0.000, 0.500)
Al (0.035, 0.372, 0.000)
Al (0.069, 0.262, 0.500)
Al (0.128, 0.535, 0.500)
Al (0.177, 0.823, 0.249)
Al (0.177, 0.823, 0.751)
Al (0.238, 0.569, 0.000)
Al (0.262, 0.069, 0.500)
Al (0.323, 0.323, 0.251)
Al (0.323, 0.323, 0.749)
Al (0.372, 0.035, 0.000)
Al (0.431, 0.762, 0.000)
Al (0.465, 0.872, 0.500)
Al (0.500, 0.500, 0.000)
Al (0.535, 0.128, 0.500)
Al (0.569, 0.238, 0.000)
Al (0.628, 0.965, 0.000)
Al (0.677, 0.677, 0.251)
Al (0.677, 0.677, 0.749)
Al (0.738, 0.931, 0.500)
Al (0.762, 0.431, 0.000)
Al (0.823, 0.177, 0.249)
Al (0.823, 0.177, 0.751)
Al (0.872, 0.465, 0.500)
Al (0.931, 0.738, 0.500)
Al (0.965, 0.628, 0.000)


(5)
Ta7Al6: computed powder XRD pattern (a wavelength of 1.5418 Å), based on a DFT-relaxed cell (GGA-PBE, OQMD).
Peak positions follow from Bragg's law for the DFT cell and can differ from measured ones.

Principal peaks in the range 10° ≤ 2θ ≤ 90°, by angle:
d/Å	two_theta	I/Imax
4.721	18.80	39
3.508	25.39	13
2.580	34.77	100
2.393	37.59	25
2.264	39.82	66
2.231	40.43	59
1.687	54.37	16
1.489	62.34	19
1.420	65.74	15
1.412	66.17	26
1.290	73.41	16
1.117	87.31	13

Cell and atoms:
Unit cell a=9.901 b=9.901 c=9.901 alpha=30.21 beta=30.21 gamma=30.21
Fractional positions:
Ta (0.000, 0.000, 0.000)
Ta (0.170, 0.170, 0.170)
Ta (0.352, 0.352, 0.352)
Ta (0.456, 0.456, 0.456)
Ta (0.544, 0.544, 0.544)
Ta (0.648, 0.648, 0.648)
Ta (0.830, 0.830, 0.830)
Al (0.088, 0.088, 0.586)
Al (0.088, 0.586, 0.088)
Al (0.414, 0.912, 0.912)
Al (0.586, 0.088, 0.088)
Al (0.912, 0.414, 0.912)
Al (0.912, 0.912, 0.414)


(6)
Ta7Al5: computed powder XRD pattern (a wavelength of 1.5418 Å), based on a DFT-relaxed cell (GGA-PBE, OQMD).
Peak positions follow from Bragg's law for the DFT cell and can differ from measured ones.

Principal peaks in the range 10° ≤ 2θ ≤ 90°, by angle:
d/Å	two_theta	I/Imax
8.576	10.31	100
4.398	20.19	32
3.121	28.61	28
2.627	34.13	34
2.421	37.14	78
2.275	39.62	30
2.240	40.26	82
2.199	41.05	76
1.474	63.08	36
1.430	65.26	26
1.370	68.51	34
1.313	71.89	24

Cell and atoms:
Unit cell a=5.253 b=5.253 c=17.153 alpha=90.00 beta=90.00 gamma=120.00
Fractional positions:
Ta (0.000, 0.000, 0.098)
Ta (0.000, 0.000, 0.402)
Ta (0.000, 0.000, 0.598)
Ta (0.000, 0.000, 0.902)
Ta (0.000, 0.500, 0.000)
Ta (0.000, 0.500, 0.500)
Ta (0.333, 0.667, 0.158)
Ta (0.333, 0.667, 0.342)
Ta (0.500, 0.000, 0.000)
Ta (0.500, 0.000, 0.500)
Ta (0.500, 0.500, 0.000)
Ta (0.500, 0.500, 0.500)
Ta (0.667, 0.333, 0.658)
Ta (0.667, 0.333, 0.842)
Al (0.161, 0.322, 0.750)
Al (0.161, 0.839, 0.750)
Al (0.322, 0.161, 0.250)
Al (0.333, 0.667, 0.629)
Al (0.333, 0.667, 0.871)
Al (0.667, 0.333, 0.129)
Al (0.667, 0.333, 0.371)
Al (0.678, 0.839, 0.750)
Al (0.839, 0.161, 0.250)
Al (0.839, 0.678, 0.250)


(7)
Ta4Al: computed powder XRD pattern (a wavelength of 1.5418 Å), based on a DFT-relaxed cell (GGA-PBE, OQMD).
Peak positions follow from Bragg's law for the DFT cell and can differ from measured ones.

Principal peaks in the range 10° ≤ 2θ ≤ 90°, by angle:
d/Å	two_theta	I/Imax
7.204	12.29	51
2.494	36.01	30
2.471	36.36	100
2.401	37.45	35
2.357	38.19	30
2.296	39.24	60
2.241	40.25	74
2.189	41.25	43
2.139	42.25	30
1.460	63.74	21
1.440	64.72	25
1.171	82.38	24

Cell and atoms:
Unit cell a=10.188 b=10.188 c=5.316 alpha=90.00 beta=90.00 gamma=90.00
Fractional positions:
Ta (0.035, 0.371, 0.000)
Ta (0.065, 0.259, 0.500)
Ta (0.129, 0.535, 0.500)
Ta (0.188, 0.812, 0.251)
Ta (0.188, 0.812, 0.749)
Ta (0.241, 0.565, 0.000)
Ta (0.259, 0.065, 0.500)
Ta (0.312, 0.312, 0.249)
Ta (0.312, 0.312, 0.751)
Ta (0.371, 0.035, 0.000)
Ta (0.435, 0.759, 0.000)
Ta (0.465, 0.871, 0.500)
Ta (0.535, 0.129, 0.500)
Ta (0.565, 0.241, 0.000)
Ta (0.629, 0.965, 0.000)
Ta (0.688, 0.688, 0.249)
Ta (0.688, 0.688, 0.751)
Ta (0.741, 0.935, 0.500)
Ta (0.759, 0.435, 0.000)
Ta (0.812, 0.188, 0.251)
Ta (0.812, 0.188, 0.749)
Ta (0.871, 0.465, 0.500)
Ta (0.935, 0.741, 0.500)
Ta (0.965, 0.629, 0.000)
Al (0.000, 0.000, 0.500)
Al (0.110, 0.110, 0.000)
Al (0.390, 0.610, 0.500)
Al (0.500, 0.500, 0.000)
Al (0.610, 0.390, 0.500)
Al (0.890, 0.890, 0.000)


(8)
Ta14Al: computed powder XRD pattern (a wavelength of 1.5418 Å), based on a DFT-relaxed cell (GGA-PBE, OQMD).
Peak positions follow from Bragg's law for the DFT cell and can differ from measured ones.

Principal peaks in the range 10° ≤ 2θ ≤ 90°, by angle:
d/Å	two_theta	I/Imax
2.627	34.13	19
2.485	36.15	99
2.415	37.24	36
2.338	38.51	28
2.279	39.54	82
2.246	40.14	100
2.194	41.14	60
2.127	42.51	22
1.460	63.72	22
1.432	65.16	40
1.418	65.88	26
1.407	66.43	23

Cell and atoms:
Unit cell a=10.245 b=10.245 c=5.254 alpha=90.00 beta=90.00 gamma=90.00
Fractional positions:
Ta (0.035, 0.371, 0.000)
Ta (0.067, 0.258, 0.500)
Ta (0.106, 0.106, 0.000)
Ta (0.129, 0.535, 0.500)
Ta (0.184, 0.816, 0.249)
Ta (0.184, 0.816, 0.751)
Ta (0.242, 0.567, 0.000)
Ta (0.258, 0.067, 0.500)
Ta (0.316, 0.316, 0.251)
Ta (0.316, 0.316, 0.749)
Ta (0.371, 0.035, 0.000)
Ta (0.394, 0.606, 0.500)
Ta (0.433, 0.758, 0.000)
Ta (0.465, 0.871, 0.500)
Ta (0.535, 0.129, 0.500)
Ta (0.567, 0.242, 0.000)
Ta (0.606, 0.394, 0.500)
Ta (0.629, 0.965, 0.000)
Ta (0.684, 0.684, 0.251)
Ta (0.684, 0.684, 0.749)
Ta (0.742, 0.933, 0.500)
Ta (0.758, 0.433, 0.000)
Ta (0.816, 0.184, 0.249)
Ta (0.816, 0.184, 0.751)
Ta (0.871, 0.465, 0.500)
Ta (0.894, 0.894, 0.000)
Ta (0.933, 0.742, 0.500)
Ta (0.965, 0.629, 0.000)
Al (0.000, 0.000, 0.500)
Al (0.500, 0.500, 0.000)